# 1
# AcPmCd4
Computed powder XRD pattern, Cu Kα X-rays. Input: a DFT-relaxed cell (GGA-PBE, Alexandria).
Intensities are scaled so that the largest is 100.

Main lines, in order of rising 2θ (15 to 90 degrees two-theta):
- 29.25 deg, intensity 43
- 34.45 deg, intensity 100
- 36.03 deg, intensity 26
- 51.88 deg, intensity 18
- 55.28 deg, intensity 34
- 60.67 deg, intensity 27
- 71.67 deg, intensity 12
- 72.63 deg, intensity 9
- 83.85 deg, intensity 9
- 86.60 deg, intensity 22

a b c (Å): 6.1056 6.1056 6.1056
angles (deg): 60.00 60.00 60.00
Positions (direct):
Ac 0.0000 0.0000 0.0000
Pm 0.7500 0.7500 0.7500
Cd 0.3757 0.3757 0.3757
Cd 0.3757 0.3757 0.8730
Cd 0.3757 0.8730 0.3757
Cd 0.8730 0.3757 0.3757



# 2
# Ac2PmCd9
Computed powder XRD pattern, Cu Kα X-rays. Input: a DFT-relaxed cell (GGA-PBE, Alexandria).
Intensities are scaled so that the largest is 100.

Main lines, in order of rising 2θ (15 to 90 degrees two-theta):
- 27.09 deg, intensity 30
- 29.08 deg, intensity 42
- 29.59 deg, intensity 32
- 33.85 deg, intensity 36
- 34.49 deg, intensity 100
- 35.93 deg, intensity 17
- 37.12 deg, intensity 27
- 37.73 deg, intensity 18
- 55.11 deg, intensity 26
- 60.29 deg, intensity 28

a b c (Å): 10.4029 10.4029 10.4029
angles (deg): 34.33 34.33 34.33
Positions (direct):
Ac 0.1403 0.1403 0.1403
Ac 0.8597 0.8597 0.8597
Pm 0.0000 0.0000 0.0000
Cd 0.0761 0.5842 0.5842
Cd 0.3349 0.3349 0.3349
Cd 0.4158 0.4158 0.9239
Cd 0.4158 0.9239 0.4158
Cd 0.5000 0.5000 0.5000
Cd 0.5842 0.0761 0.5842
Cd 0.5842 0.5842 0.0761
Cd 0.6651 0.6651 0.6651
Cd 0.9239 0.4158 0.4158



# 3
# Ac9Pr4Cd11
Computed powder XRD pattern, Cu Kα X-rays. Input: a DFT-relaxed cell (GGA-PBE, Alexandria).
Intensities are scaled so that the largest is 100.

Main lines, in order of rising 2θ (15 to 90 degrees two-theta):
- 30.07 deg, intensity 32
- 30.60 deg, intensity 100
- 31.27 deg, intensity 88
- 32.10 deg, intensity 82
- 42.57 deg, intensity 17
- 46.97 deg, intensity 21
- 54.29 deg, intensity 21
- 55.18 deg, intensity 18
- 55.87 deg, intensity 17
- 57.11 deg, intensity 34

a b c (Å): 14.7610 14.7610 3.8690
angles (deg): 90.00 90.00 109.73
Positions (direct):
Ac 0.0000 0.0000 0.0000
Ac 0.1239 0.6473 0.0000
Ac 0.2922 0.4629 0.0000
Ac 0.3527 0.8761 0.0000
Ac 0.4629 0.2922 0.0000
Ac 0.5371 0.7078 0.0000
Ac 0.6473 0.1239 0.0000
Ac 0.7078 0.5371 0.0000
Ac 0.8761 0.3527 0.0000
Pr 0.0653 0.2501 0.0000
Pr 0.2501 0.0653 0.0000
Pr 0.7499 0.9347 0.0000
Pr 0.9347 0.7499 0.0000
Cd 0.0848 0.4418 0.5000
Cd 0.1321 0.8679 0.5000
Cd 0.2456 0.2456 0.5000
Cd 0.3304 0.6696 0.5000
Cd 0.4418 0.0848 0.5000
Cd 0.5000 0.5000 0.5000
Cd 0.5582 0.9152 0.5000
Cd 0.6696 0.3304 0.5000
Cd 0.7544 0.7544 0.5000
Cd 0.8679 0.1321 0.5000
Cd 0.9152 0.5582 0.5000



# 4
# AcPr3Cd4
Computed powder XRD pattern, Cu Kα X-rays. Input: a DFT-relaxed cell (GGA-PBE, Alexandria).
Intensities are scaled so that the largest is 100.

Main lines, in order of rising 2θ (15 to 90 degrees two-theta):
- 32.14 deg, intensity 100
- 32.30 deg, intensity 50
- 45.86 deg, intensity 9
- 46.32 deg, intensity 18
- 57.20 deg, intensity 19
- 57.50 deg, intensity 37
- 67.23 deg, intensity 11
- 76.13 deg, intensity 8
- 76.87 deg, intensity 16
- 85.55 deg, intensity 6

a b c (Å): 11.0885 7.9156 5.5430
angles (deg): 90.00 90.00 90.00
Positions (direct):
Ac 0.0000 0.0000 0.0000
Ac 0.5000 0.0000 0.0000
Pr 0.0000 0.5000 0.0000
Pr 0.2500 0.0000 0.4973
Pr 0.2500 0.5000 0.4971
Pr 0.5000 0.5000 0.0000
Pr 0.7500 0.0000 0.5027
Pr 0.7500 0.5000 0.5029
Cd 0.0000 0.2605 0.5000
Cd 0.0000 0.7395 0.5000
Cd 0.2500 0.2605 0.9966
Cd 0.2500 0.7395 0.9966
Cd 0.5000 0.2605 0.5000
Cd 0.5000 0.7395 0.5000
Cd 0.7500 0.2605 0.0034
Cd 0.7500 0.7395 0.0034